Record 1
Structure and calculated powder diffraction line list of Zn2GaAg4 (a crystal structure in Alexandria, relaxed with PBE; Cu Kα (weighted mean of Kα1 and Kα2)).

Largest 10 diffraction maxima, in order of rising 2θ, 15° ≤ 2θ ≤ 90°:
32.81 deg, rel. 28; 34.91 deg, rel. 15; 37.54 deg, rel. 100; 38.38 deg, rel. 15; 40.65 deg, rel. 18; 40.77 deg, rel. 22; 41.90 deg, rel. 19; 42.42 deg, rel. 18; 43.45 deg, rel. 40; 45.37 deg, rel. 15

Crystal structure
Cell lengths 5.4696, 5.4696, 5.4635 Å; angles 118.27, 118.27, 72.19 degrees
Fractional positions:
Zn1 0.0032 0.0032 0.2398
Zn2 0.9968 0.9968 0.7602
Ga1 0.5000 0.5000 0.0000
Ag1 0.0770 0.5139 0.2930
Ag2 0.4861 0.9230 0.7070
Ag3 0.5139 0.0770 0.2930
Ag4 0.9230 0.4861 0.7070

***

Record 2
Structure and calculated powder diffraction line list of TaHIr3 (a crystal structure in Alexandria, relaxed with PBE; Cu Kα (weighted mean of Kα1 and Kα2)).

Largest 10 diffraction maxima, in order of rising 2θ, 15° ≤ 2θ ≤ 90°:
19.31 deg, rel. 1; 39.21 deg, rel. 100; 44.90 deg, rel. 17; 45.93 deg, rel. 33; 49.79 deg, rel. 1; 66.18 deg, rel. 21; 66.98 deg, rel. 11; 78.95 deg, rel. 13; 80.44 deg, rel. 26; 84.29 deg, rel. 11

Crystal structure
Cell lengths 5.6499, 5.6499, 5.6499 Å; angles 120.74, 120.68, 88.77 degrees
Fractional positions:
Ta1 0.2360 0.2360 0.0000
Ta2 0.7640 0.7640 0.0000
H1 0.5000 0.0000 0.5000
H2 0.5000 0.5000 0.0000
Ir1 0.2450 0.2507 0.4957
Ir2 0.2450 0.7493 0.9943
Ir3 0.2468 0.7468 0.5000
Ir4 0.7532 0.2532 0.5000
Ir5 0.7550 0.2507 0.0057
Ir6 0.7550 0.7493 0.5043

***

Record 3
Structure and calculated powder diffraction line list of Ba3AcH8 (a crystal structure in Alexandria, relaxed with PBE; Cu Kα (weighted mean of Kα1 and Kα2)).

Largest 10 diffraction maxima, in order of rising 2θ, 15° ≤ 2θ ≤ 90°:
24.94 deg, rel. 100; 28.88 deg, rel. 50; 41.30 deg, rel. 41; 48.85 deg, rel. 49; 51.18 deg, rel. 14; 59.83 deg, rel. 7; 65.84 deg, rel. 20; 67.78 deg, rel. 18; 75.30 deg, rel. 14; 80.76 deg, rel. 15

Crystal structure
Cell lengths 6.1832, 6.1832, 6.1832 Å; angles 90.00, 90.00, 90.00 degrees
Fractional positions:
Ba1 0.0000 0.0000 0.5000
Ba2 0.0000 0.5000 0.0000
Ba3 0.5000 0.0000 0.0000
Ac1 0.5000 0.5000 0.5000
H1 0.2617 0.2617 0.2617
H2 0.2617 0.2617 0.7383
H3 0.2617 0.7383 0.2617
H4 0.2617 0.7383 0.7383
H5 0.7383 0.2617 0.2617
H6 0.7383 0.2617 0.7383
H7 0.7383 0.7383 0.2617
H8 0.7383 0.7383 0.7383

***

Record 4
Structure and calculated powder diffraction line list of CeNpO5 (a crystal structure in Alexandria, relaxed with PBE; Cu Kα (weighted mean of Kα1 and Kα2)).

Largest 10 diffraction maxima, in order of rising 2θ, 15° ≤ 2θ ≤ 90°:
21.33 deg, rel. 80; 25.30 deg, rel. 100; 26.63 deg, rel. 48; 33.33 deg, rel. 67; 34.37 deg, rel. 34; 46.22 deg, rel. 24; 49.17 deg, rel. 18; 50.95 deg, rel. 30; 51.44 deg, rel. 26; 56.79 deg, rel. 18

Crystal structure
Cell lengths 5.7302, 5.7302, 5.7302 Å; angles 137.67, 108.51, 86.75 degrees
Fractional positions:
Ce1 0.0000 0.0000 0.0000
Np1 0.5000 0.5000 0.0000
O1 0.1997 0.5000 0.6997
O2 0.2488 0.2488 0.0000
O3 0.5000 0.0000 0.5000
O4 0.7512 0.7512 0.0000
O5 0.8003 0.5000 0.3003

***

Record 5
Structure and calculated powder diffraction line list of KRb2Na2Tl5 (a crystal structure in Alexandria, relaxed with PBE; Cu Kα (weighted mean of Kα1 and Kα2)).

Largest 10 diffraction maxima, in order of rising 2θ, 15° ≤ 2θ ≤ 90°:
16.28 deg, rel. 100; 23.64 deg, rel. 50; 27.16 deg, rel. 53; 29.28 deg, rel. 99; 31.69 deg, rel. 67; 32.23 deg, rel. 55; 32.90 deg, rel. 56; 34.95 deg, rel. 36; 46.33 deg, rel. 47; 58.57 deg, rel. 27

Crystal structure
Cell lengths 11.6432, 11.6432, 5.4441 Å; angles 90.00, 90.00, 90.00 degrees
Fractional positions:
K1 0.0000 0.0000 0.0000
K2 0.5000 0.5000 0.0000
Rb1 0.1848 0.3152 0.0000
Rb2 0.3152 0.8152 0.0000
Rb3 0.6848 0.1848 0.0000
Rb4 0.8152 0.6848 0.0000
Na1 0.1115 0.6115 0.0000
Na2 0.3885 0.1115 0.0000
Na3 0.6115 0.8885 0.0000
Na4 0.8885 0.3885 0.0000
Tl1 0.0000 0.5000 0.5000
Tl2 0.0552 0.7849 0.5000
Tl3 0.2151 0.0552 0.5000
Tl4 0.2849 0.5552 0.5000
Tl5 0.4448 0.2849 0.5000
Tl6 0.5000 0.0000 0.5000
Tl7 0.5552 0.7151 0.5000
Tl8 0.7151 0.4448 0.5000
Tl9 0.7849 0.9448 0.5000
Tl10 0.9448 0.2151 0.5000

***

Record 6
Structure and calculated powder diffraction line list of NpSnSe3 (a crystal structure in Alexandria, relaxed with PBE; Cu Kα (weighted mean of Kα1 and Kα2)).

Largest 10 diffraction maxima, in order of rising 2θ, 15° ≤ 2θ ≤ 90°:
18.24 deg, rel. 22; 19.64 deg, rel. 35; 25.03 deg, rel. 56; 27.49 deg, rel. 31; 30.96 deg, rel. 100; 34.39 deg, rel. 39; 37.85 deg, rel. 79; 44.33 deg, rel. 21; 46.96 deg, rel. 33; 59.72 deg, rel. 21

Crystal structure
Cell lengths 7.4800, 7.4800, 7.4800 Å; angles 134.62, 91.59, 105.66 degrees
Fractional positions:
Np1 0.3089 0.0589 0.2500
Np2 0.6911 0.9411 0.7500
Sn1 0.0000 0.5000 0.5000
Sn2 0.5000 0.5000 0.0000
Se1 0.1108 0.1557 0.9550
Se2 0.2993 0.8443 0.4550
Se3 0.3680 0.6180 0.7500
Se4 0.6320 0.3820 0.2500
Se5 0.7007 0.1557 0.5450
Se6 0.8892 0.8443 0.0450

***

Record 7
Structure and calculated powder diffraction line list of Li5InPt (a crystal structure in Alexandria, relaxed with PBE; Cu Kα (weighted mean of Kα1 and Kα2)).

Largest 10 diffraction maxima, in order of rising 2θ, 15° ≤ 2θ ≤ 90°:
19.37 deg, rel. 62; 20.17 deg, rel. 100; 33.89 deg, rel. 25; 34.36 deg, rel. 23; 39.33 deg, rel. 23; 39.76 deg, rel. 40; 40.99 deg, rel. 21; 49.04 deg, rel. 18; 50.10 deg, rel. 15; 54.21 deg, rel. 19

Crystal structure
Cell lengths 5.8570, 5.8570, 5.8570 Å; angles 129.25, 126.32, 77.00 degrees
Fractional positions:
Li1 0.0000 0.0000 0.0000
Li2 0.4932 0.2393 0.7462
Li3 0.4932 0.7470 0.2538
Li4 0.5471 0.2708 0.2763
Li5 0.9945 0.2708 0.7237
In1 0.1780 0.6780 0.5000
Pt1 0.7319 0.7319 0.0000

***

Record 8
Structure and calculated powder diffraction line list of CsK7Au2 (a crystal structure in Alexandria, relaxed with PBE; Cu Kα (weighted mean of Kα1 and Kα2)).

Largest 10 diffraction maxima, in order of rising 2θ, 15° ≤ 2θ ≤ 90°:
16.47 deg, rel. 100; 16.76 deg, rel. 58; 17.23 deg, rel. 71; 23.57 deg, rel. 33; 26.91 deg, rel. 44; 29.17 deg, rel. 41; 29.95 deg, rel. 48; 32.14 deg, rel. 39; 38.29 deg, rel. 39; 40.10 deg, rel. 34

Crystal structure
Cell lengths 10.3070, 10.3070, 6.6274 Å; angles 90.00, 90.00, 116.98 degrees
Fractional positions:
Cs1 0.0000 0.0000 0.0000
K1 0.0495 0.3431 0.5000
K2 0.3096 0.6904 0.0000
K3 0.3431 0.0495 0.5000
K4 0.5000 0.5000 0.5000
K5 0.6569 0.9505 0.5000
K6 0.6904 0.3096 0.0000
K7 0.9505 0.6569 0.5000
Au1 0.3019 0.6981 0.5000
Au2 0.6981 0.3019 0.5000

***

Record 9
Structure and calculated powder diffraction line list of ThGa2PdRu2 (a crystal structure in Alexandria, relaxed with PBE; Cu Kα (weighted mean of Kα1 and Kα2)).

Largest 10 diffraction maxima, in order of rising 2θ, 15° ≤ 2θ ≤ 90°:
19.21 deg, rel. 15; 27.30 deg, rel. 67; 31.81 deg, rel. 54; 37.91 deg, rel. 100; 38.99 deg, rel. 80; 55.51 deg, rel. 66; 56.33 deg, rel. 27; 69.91 deg, rel. 17; 81.02 deg, rel. 15; 83.07 deg, rel. 21

Crystal structure
Cell lengths 4.6197, 4.6197, 5.5336 Å; angles 90.00, 90.00, 90.00 degrees
Fractional positions:
Th1 0.0000 0.0000 0.0000
Ga1 0.0000 0.5000 0.5000
Ga2 0.5000 0.0000 0.5000
Pd1 0.0000 0.0000 0.5000
Ru1 0.5000 0.5000 0.2173
Ru2 0.5000 0.5000 0.7827

***

Record 10
Structure and calculated powder diffraction line list of CaB4Rh12 (a crystal structure in Alexandria, relaxed with PBE; Cu Kα (weighted mean of Kα1 and Kα2)).

Largest 10 diffraction maxima, in order of rising 2θ, 15° ≤ 2θ ≤ 90°:
32.69 deg, rel. 12; 36.68 deg, rel. 100; 40.33 deg, rel. 12; 43.72 deg, rel. 54; 58.35 deg, rel. 8; 60.98 deg, rel. 10; 70.93 deg, rel. 27; 73.32 deg, rel. 13; 75.67 deg, rel. 15; 84.89 deg, rel. 16

Crystal structure
Cell lengths 6.7094, 6.7094, 6.7094 Å; angles 109.47, 109.47, 109.47 degrees
Fractional positions:
Ca1 0.0000 0.0000 0.0000
B1 0.0000 0.0000 0.5000
B2 0.0000 0.5000 0.0000
B3 0.5000 0.0000 0.0000
B4 0.5000 0.5000 0.5000
Rh1 0.1514 0.8292 0.3222
Rh2 0.1708 0.3222 0.4930
Rh3 0.1708 0.6778 0.8486
Rh4 0.3222 0.1514 0.8292
Rh5 0.3222 0.4930 0.1708
Rh6 0.4930 0.1708 0.3222
Rh7 0.5070 0.8292 0.6778
Rh8 0.6778 0.5070 0.8292
Rh9 0.6778 0.8486 0.1708
Rh10 0.8292 0.3222 0.1514
Rh11 0.8292 0.6778 0.5070
Rh12 0.8486 0.1708 0.6778

***

Record 11
Structure and calculated powder diffraction line list of Tb4Pd3Pt3 (a crystal structure in Alexandria, relaxed with PBE; Cu Kα (weighted mean of Kα1 and Kα2)).

Largest 10 diffraction maxima, in order of rising 2θ, 15° ≤ 2θ ≤ 90°:
23.11 deg, rel. 6; 26.74 deg, rel. 13; 35.63 deg, rel. 100; 42.90 deg, rel. 28; 53.21 deg, rel. 32; 67.36 deg, rel. 16; 69.01 deg, rel. 15; 72.26 deg, rel. 6; 80.16 deg, rel. 19; 81.71 deg, rel. 7

Crystal structure
Cell lengths 8.1652, 8.1652, 8.1652 Å; angles 109.47, 109.47, 109.47 degrees
Fractional positions:
Tb1 0.0000 0.2556 0.5000
Tb2 0.0000 0.7556 0.5000
Tb3 0.2444 0.2444 0.2444
Tb4 0.2556 0.5000 0.0000
Tb5 0.5000 0.0000 0.2556
Tb6 0.5000 0.0000 0.7556
Tb7 0.7444 0.7444 0.7444
Tb8 0.7556 0.5000 0.0000
Pd1 0.1250 0.7500 0.8750
Pd2 0.2500 0.6250 0.3750
Pd3 0.3750 0.2500 0.6250
Pd4 0.6250 0.3750 0.2500
Pd5 0.7500 0.8750 0.1250
Pd6 0.8750 0.1250 0.7500
Pt1 0.1250 0.8750 0.2500
Pt2 0.2500 0.1250 0.8750
Pt3 0.3750 0.6250 0.7500
Pt4 0.6250 0.7500 0.3750
Pt5 0.7500 0.3750 0.6250
Pt6 0.8750 0.2500 0.1250

***

Record 12
Structure and calculated powder diffraction line list of Ho4GeS2 (a crystal structure in Alexandria, relaxed with PBE; Cu Kα (weighted mean of Kα1 and Kα2)).

Largest 10 diffraction maxima, in order of rising 2θ, 15° ≤ 2θ ≤ 90°:
26.63 deg, rel. 100; 29.59 deg, rel. 32; 30.18 deg, rel. 24; 32.86 deg, rel. 54; 33.90 deg, rel. 36; 34.76 deg, rel. 49; 37.24 deg, rel. 31; 41.08 deg, rel. 24; 44.63 deg, rel. 29; 53.24 deg, rel. 27

Crystal structure
Cell lengths 6.9688, 11.8461, 4.0611 Å; angles 90.00, 90.00, 90.00 degrees
Fractional positions:
Ho1 0.1143 0.2171 0.0000
Ho2 0.2387 0.4529 0.5000
Ho3 0.2613 0.9529 0.5000
Ho4 0.3857 0.7171 0.0000
Ho5 0.6143 0.2829 0.0000
Ho6 0.7387 0.0471 0.5000
Ho7 0.7613 0.5471 0.5000
Ho8 0.8857 0.7829 0.0000
Ge1 0.0000 0.0000 0.0000
Ge2 0.5000 0.5000 0.0000
S1 0.1059 0.6866 0.5000
S2 0.3941 0.1866 0.5000
S3 0.6059 0.8134 0.5000
S4 0.8941 0.3134 0.5000